(1)
# La5Ga6
Calculated powder diffractogram, Cu Ka. Input: a GGA-PBE-relaxed structure.
Lines closer than 0.1° are merged.

Structure:
a b c (Å): 9.2938 9.2938 5.2486
angles (deg): 106.34 106.34 47.26
Atoms (fractional coordinates):
La  0.0000  0.0000  0.0000
La  0.1845  0.1845  0.6846
La  0.3691  0.3691  0.3690
La  0.6309  0.6309  0.6310
La  0.8155  0.8155  0.3154
Ga  0.0652  0.5978  0.8315
Ga  0.1985  0.8015  0.5000
Ga  0.4022  0.9348  0.1685
Ga  0.5978  0.0652  0.8315
Ga  0.8015  0.1985  0.5000
Ga  0.9348  0.4022  0.1685

Principal peaks in the range 2θ from 10° to 90°, low angle first:
Position (°2θ), I/Imax
23.46, 14
30.07, 24
33.17, 19
33.85, 100
34.17, 30
41.75, 12
48.36, 13
49.77, 12
60.98, 26
61.68, 12

=====

(2)
# Er2ThN3
Calculated powder diffractogram, Cu Ka. Input: a GGA-PBE-relaxed structure.
Lines closer than 0.1° are merged.

Structure:
a b c (Å): 6.9894 6.9894 8.4581
angles (deg): 108.20 108.20 28.61
Atoms (fractional coordinates):
Er  0.1737  0.1737  0.3392
Er  0.3260  0.3260  0.1598
Er  0.6740  0.6740  0.8402
Er  0.8263  0.8263  0.6608
Th  0.0000  0.0000  0.5000
Th  0.5000  0.5000  0.0000
N  0.1439  0.1439  0.0255
N  0.1958  0.1958  0.6382
N  0.4682  0.4682  0.6958
N  0.5318  0.5318  0.3042
N  0.8042  0.8042  0.3618
N  0.8561  0.8561  0.9745

Principal peaks in the range 2θ from 10° to 90°, low angle first:
Position (°2θ), I/Imax
29.56, 32
29.88, 100
42.29, 15
42.40, 30
42.64, 30
42.77, 15
53.04, 25
62.07, 13
70.06, 10
86.00, 11

=====

(3)
# KAlCu4
Calculated powder diffractogram, Cu Ka. Input: a GGA-PBE-relaxed structure.
Lines closer than 0.1° are merged.

Structure:
a b c (Å): 5.1529 5.1529 5.1529
angles (deg): 60.00 60.00 60.00
Atoms (fractional coordinates):
K  0.0000  0.0000  0.0000
Al  0.7500  0.7500  0.7500
Cu  0.3766  0.3766  0.3766
Cu  0.3766  0.3766  0.8701
Cu  0.3766  0.8701  0.3766
Cu  0.8701  0.3766  0.3766

Principal peaks in the range 2θ from 10° to 90°, low angle first:
Position (°2θ), I/Imax
21.12, 44
34.82, 11
41.08, 100
43.00, 65
50.07, 18
54.92, 10
66.69, 29
73.52, 27
87.85, 10
89.13, 21

=====

(4)
# Cs3Ti2Te4
Calculated powder diffractogram, Cu Ka. Input: a GGA-PBE-relaxed structure.
Lines closer than 0.1° are merged.

Structure:
a b c (Å): 10.1939 10.1939 8.1813
angles (deg): 96.47 96.47 73.02
Atoms (fractional coordinates):
Cs  0.0918  0.9082  0.7500
Cs  0.2384  0.5102  0.4432
Cs  0.4898  0.7616  0.0568
Cs  0.5102  0.2384  0.9432
Cs  0.7616  0.4898  0.5568
Cs  0.9082  0.0918  0.2500
Ti  0.0878  0.3441  0.9457
Ti  0.3441  0.0878  0.4457
Ti  0.6559  0.9122  0.5543
Ti  0.9122  0.6559  0.0543
Te  0.1353  0.2359  0.6309
Te  0.1804  0.5726  0.9798
Te  0.2359  0.1353  0.1309
Te  0.4274  0.8196  0.5202
Te  0.5726  0.1804  0.4798
Te  0.7641  0.8647  0.8691
Te  0.8196  0.4274  0.0202
Te  0.8647  0.7641  0.3691

Principal peaks in the range 2θ from 10° to 90°, low angle first:
Position (°2θ), I/Imax
21.93, 45
22.66, 37
24.51, 32
25.93, 41
26.45, 37
27.54, 37
28.47, 62
28.85, 100
31.20, 53
47.29, 33